Calculated X-ray diffraction stick pattern of BaAcTmMg for CuKα, from a structure optimized by DFT (PBE).
Lines closer than 0.1° are merged.

Crystal structure
```
BaAcTmMg
1.0
8.484 0.000 0.000
0.000 8.484 0.000
0.000 0.000 8.484
Ba Ac Tm Mg
4 4 4 4
Direct
0.000 0.000 0.000
0.000 0.500 0.500
0.500 0.000 0.500
0.500 0.500 0.000
0.250 0.250 0.250
0.250 0.750 0.750
0.750 0.250 0.750
0.750 0.750 0.250
0.000 0.000 0.500
0.000 0.500 0.000
0.500 0.000 0.000
0.500 0.500 0.500
0.250 0.250 0.750
0.250 0.750 0.250
0.750 0.250 0.250
0.750 0.750 0.750
```

Principal peaks in the range 5 to 70 degrees two-theta, low angle first:
2θ = 18.11°, intensity 28
2θ = 20.94°, intensity 1
2θ = 29.79°, intensity 100
2θ = 35.08°, intensity 17
2θ = 42.63°, intensity 19
2θ = 46.67°, intensity 8
2θ = 52.87°, intensity 41
2θ = 56.35°, intensity 6
2θ = 61.86°, intensity 13
2θ = 65.04°, intensity 6